Diffraction record for KHg4Pb4. The powder XRD pattern is calculated, not measured: it uses a structure optimized by DFT (GGA-PBE) and a wavelength of 1.5418 Å.
Peak positions follow from Bragg's law for the DFT cell and can differ from measured ones.

Structural model:
Unit cell a=10.964 b=10.964 c=4.563 alpha=90.00 beta=90.00 gamma=90.00
Space group I4/mmm (No. 139)
Unique sites:
K: 0.000 0.000 0.000
Hg: 0.176 0.176 0.500
Pb: 0.000 0.342 0.000

Peak list (8 most intense, 10° ≤ 2θ ≤ 90°, low angle first)
Position (°2θ), I_rel, hkl
31.4, 100, 3 0 1
34.7, 38, 3 3 0
39.5, 14, 0 0 2
49.9, 13, 6 0 0
53.6, 22, 3 3 2
60.1, 30, 6 3 1
65.4, 12, 6 0 2
66.6, 12, 3 0 3

Diffraction record for CoOsSe4. The powder XRD pattern is calculated, not measured: it uses a structure optimized by DFT (GGA-PBE) and a wavelength of 1.5418 Å.
Peak positions follow from Bragg's law for the DFT cell and can differ from measured ones.

Structural model:
Unit cell a=5.916 b=5.963 c=5.960 alpha=90.00 beta=90.14 gamma=90.00
Space group P2_1/c (No. 14)
Unique sites:
Co: 0.000 0.000 0.000
Os: 0.500 0.000 0.500
Se: 0.120 0.127 0.624
Se: 0.372 0.622 0.622

Peak list (8 most intense, 10° ≤ 2θ ≤ 90°, low angle first)
Position (°2θ), I_rel, hkl
26.0, 43, 1 1 -1
30.0, 54, 0 0 2
33.7, 83, 1 0 2
33.8, 31, 2 1 0
37.0, 49, 1 2 1
37.1, 40, 2 1 -1
50.8, 100, 1 3 -1
51.1, 49, 3 1 1

Diffraction record for Sr3Li3Sn8. The powder XRD pattern is calculated, not measured: it uses a structure optimized by DFT (GGA-PBE) and a wavelength of 1.5418 Å.
Peak positions follow from Bragg's law for the DFT cell and can differ from measured ones.

Structural model:
Unit cell a=17.731 b=5.051 c=10.698 alpha=90.00 beta=126.66 gamma=90.00
Space group C2/m (No. 12)
Unique sites:
Sr: 0.000 0.000 0.000
Sr: 0.199 0.500 0.694
Li: 0.000 0.000 0.500
Li: 0.167 0.500 0.315
Sn: 0.003 0.500 0.314
Sn: 0.137 0.000 0.410
Sn: 0.147 0.500 0.033
Sn: 0.151 0.000 0.874

Peak list (8 most intense, 10° ≤ 2θ ≤ 90°, low angle first)
Position (°2θ), I_rel, hkl
16.6, 28, 2 0 -2
25.0, 26, 1 1 -2
25.7, 27, 2 0 -3
30.7, 89, 1 1 2
30.9, 100, 5 1 -2
33.2, 28, 1 1 -3
35.5, 61, 0 2 0
38.0, 26, 6 0 0

Diffraction record for Sm5Sb2Au. The powder XRD pattern is calculated, not measured: it uses a structure optimized by DFT (GGA-PBE) and a wavelength of 1.5418 Å.
Peak positions follow from Bragg's law for the DFT cell and can differ from measured ones.

Structural model:
Unit cell a=6.016 b=11.970 c=14.768 alpha=90.00 beta=90.00 gamma=90.00
Space group Cmcm (No. 63)
Unique sites:
Sm: 0.000 0.068 0.109
Sm: 0.000 0.337 0.750
Sm: 0.000 0.378 0.069
Sb: 0.000 0.193 0.582
Au: 0.000 0.248 0.250

Peak list (8 most intense, 10° ≤ 2θ ≤ 90°, low angle first)
Position (°2θ), I_rel, hkl
23.4, 28, 0 2 3
29.3, 22, 1 1 4
29.7, 71, 2 0 0
32.5, 100, 1 3 3
35.1, 25, 0 4 3
36.5, 30, 0 0 6
47.7, 29, 2 0 6
54.5, 23, 3 3 3

Diffraction record for In2Au3S6. The powder XRD pattern is calculated, not measured: it uses a structure optimized by DFT (GGA-PBE) and a wavelength of 1.5418 Å.
Peak positions follow from Bragg's law for the DFT cell and can differ from measured ones.

Structural model:
Unit cell a=11.240 b=6.334 c=15.156 alpha=90.00 beta=104.39 gamma=90.00
Space group C2/c (No. 15)
Unique sites:
In: 0.086 0.250 0.003
Au: 0.000 0.074 0.250
Au: 0.160 0.411 0.751
S: 0.064 0.097 0.404
S: 0.126 0.397 0.597
S: 0.215 0.446 0.904

Peak list (8 most intense, 10° ≤ 2θ ≤ 90°, low angle first)
Position (°2θ), I_rel, hkl
12.1, 34, 0 0 2
24.3, 44, 0 0 4
28.3, 100, 3 1 0
28.8, 48, 0 2 1
30.3, 56, 3 1 -3
41.6, 28, 3 1 4
46.6, 27, 3 1 5
49.6, 29, 3 3 -1

Diffraction record for TbBe4Pt12. The powder XRD pattern is calculated, not measured: it uses a structure optimized by DFT (GGA-PBE) and a wavelength of 1.5418 Å.
Peak positions follow from Bragg's law for the DFT cell and can differ from measured ones.

Structural model:
Unit cell a=8.064 b=8.064 c=8.064 alpha=90.00 beta=90.00 gamma=90.00
Space group Im-3 (No. 204)
Unique sites:
Tb: 0.000 0.000 0.000
Be: 0.250 0.250 0.250
Pt: 0.000 0.167 0.330

Peak list (8 most intense, 10° ≤ 2θ ≤ 90°, low angle first)
Position (°2θ), I_rel, hkl
35.2, 100, 3 1 0
41.9, 51, 3 2 1
55.9, 10, 4 2 2
58.3, 16, 4 1 3
67.8, 22, 5 0 3
70.0, 17, 6 0 0
72.2, 11, 5 3 2
80.8, 19, 6 3 1

Diffraction record for U2SiTc3. The powder XRD pattern is calculated, not measured: it uses a structure optimized by DFT (GGA-PBE) and a wavelength of 1.5418 Å.
Peak positions follow from Bragg's law for the DFT cell and can differ from measured ones.

Structural model:
Unit cell a=5.5497 b=5.5497 c=11.4937 alpha=90.00 beta=90.00 gamma=120.00
Space group R-3m (No. 166, hexagonal axes)
Unique sites:
U: 0.0000 0.0000 0.1183
Si: 0.0000 0.0000 0.5000
Tc: 0.0000 0.5000 0.0000

Peak list (8 most intense, 10° ≤ 2θ ≤ 90°, low angle first)
Position (°2θ), I_rel, hkl
20.0, 53, 1 0 1
32.3, 62, 1 1 0
36.4, 84, 1 0 4
38.3, 100, 0 2 1
40.1, 79, 1 1 3
43.6, 49, 0 1 5
60.3, 40, 2 1 4
67.5, 32, 2 2 0

Diffraction record for Sc3CoIr2. The powder XRD pattern is calculated, not measured: it uses a structure optimized by DFT (GGA-PBE) and a wavelength of 1.5418 Å.
Peak positions follow from Bragg's law for the DFT cell and can differ from measured ones.

Structural model:
Unit cell a=4.529 b=13.578 c=6.395 alpha=90.00 beta=90.00 gamma=90.00
Space group Cmmm (No. 65)
Unique sites:
Sc: 0.000 0.000 0.247
Sc: 0.000 0.331 0.245
Co: 0.000 0.167 0.000
Ir: 0.000 0.166 0.500
Ir: 0.000 0.500 0.000
Ir: 0.000 0.500 0.500

Peak list (8 most intense, 10° ≤ 2θ ≤ 90°, low angle first)
Position (°2θ), I_rel, hkl
13.8, 10, 0 0 1
27.9, 36, 1 3 0
39.8, 100, 2 0 0
49.3, 11, 2 0 2
57.6, 17, 2 6 0
65.2, 15, 1 3 4
72.3, 33, 3 3 2
85.9, 11, 4 0 0

Diffraction record for ReBi2O7. The powder XRD pattern is calculated, not measured: it uses a structure optimized by DFT (GGA-PBE) and a wavelength of 1.5418 Å.
Peak positions follow from Bragg's law for the DFT cell and can differ from measured ones.

Structural model:
Unit cell a=5.838 b=7.836 c=8.395 alpha=107.00 beta=90.92 gamma=106.11
Space group P-1 (No. 2)
Unique sites:
Re: 0.180 0.156 0.284
Bi: 0.009 0.453 0.697
Bi: 0.442 0.257 0.919
O: 0.041 0.680 0.581
O: 0.054 0.047 0.725
O: 0.135 0.299 0.149
O: 0.289 0.729 0.246
O: 0.327 0.493 0.877
O: 0.356 0.252 0.476
O: 0.381 0.070 0.147

Peak list (8 most intense, 10° ≤ 2θ ≤ 90°, low angle first)
Position (°2θ), I_rel, hkl
20.4, 100, 1 0 1
22.9, 93, 1 1 0
25.3, 84, 1 -2 0
26.0, 72, 1 0 -2
27.9, 68, 1 1 -2
30.4, 49, 0 2 1
32.1, 44, 0 1 -3
37.5, 39, 0 3 -2

Diffraction record for KSrI2Cl. The powder XRD pattern is calculated, not measured: it uses a structure optimized by DFT (GGA-PBE) and a wavelength of 1.5418 Å.
Peak positions follow from Bragg's law for the DFT cell and can differ from measured ones.

Structural model:
Unit cell a=4.793 b=15.534 c=10.926 alpha=90.00 beta=90.00 gamma=90.00
Space group Cmcm (No. 63)
Unique sites:
K: 0.000 0.216 0.250
Sr: 0.000 0.500 0.000
I: 0.000 0.140 0.560
Cl: 0.000 0.429 0.750

Peak list (8 most intense, 10° ≤ 2θ ≤ 90°, low angle first)
Position (°2θ), I_rel, hkl
16.2, 42, 0 0 2
25.3, 100, 1 3 0
27.0, 50, 0 2 3
30.2, 48, 1 3 2
31.4, 37, 1 1 3
37.5, 25, 2 0 0
38.3, 22, 1 5 2
46.9, 25, 2 2 3

Diffraction record for NaIrO4. The powder XRD pattern is calculated, not measured: it uses a structure optimized by DFT (GGA-PBE) and a wavelength of 1.5418 Å.
Peak positions follow from Bragg's law for the DFT cell and can differ from measured ones.

Structural model:
Unit cell a=7.311 b=11.817 c=4.993 alpha=90.00 beta=129.11 gamma=90.00
Space group C2/c (No. 15)
Unique sites:
Na: 0.000 0.154 0.250
Ir: 0.000 0.420 0.750
O: 0.179 0.451 0.235
O: 0.201 0.318 0.787

Peak list (8 most intense, 10° ≤ 2θ ≤ 90°, low angle first)
Position (°2θ), I_rel, hkl
15.0, 23, 0 2 0
17.3, 100, 1 1 0
19.3, 19, 1 1 -1
27.5, 42, 0 2 1
28.9, 61, 2 2 -1
39.3, 33, 2 4 -1
42.3, 15, 1 3 1
44.2, 18, 3 3 -1

Diffraction record for HoP2Rh4. The powder XRD pattern is calculated, not measured: it uses a structure optimized by DFT (GGA-PBE) and a wavelength of 1.5418 Å.
Peak positions follow from Bragg's law for the DFT cell and can differ from measured ones.

Structural model:
Unit cell a=7.623 b=7.623 c=3.677 alpha=90.00 beta=90.00 gamma=90.00
Space group P4_2/mnm (No. 136)
Unique sites:
Ho: 0.000 0.000 0.000
P: 0.233 0.233 0.500
Rh: 0.069 0.680 0.500

Peak list (8 most intense, 10° ≤ 2θ ≤ 90°, low angle first)
Position (°2θ), I_rel, hkl
35.9, 100, 2 1 1
37.3, 39, 3 1 0
41.5, 18, 2 2 1
45.0, 21, 3 1 1
49.3, 15, 4 1 0
49.6, 17, 0 0 2
63.6, 16, 3 1 2
66.4, 19, 5 0 1